Record 1
Structure and calculated XRD peak list of DyHo4Sc3 (a cell relaxed with PBE; Cu Kα).
Intensities are scaled so that the largest is 100.

The 8 most intense peaks (10 to 90 degrees two-theta), low angle first:
d = 5.572 Å, rel. 27, (2 0 0)
d = 2.801 Å, rel. 100, (0 0 2)
d = 2.784 Å, rel. 33, (4 0 0)
d = 2.424 Å, rel. 44, (2 2 1)
d = 2.418 Å, rel. 22, (4 0 -2)
d = 1.717 Å, rel. 23, (0 4 0)
d = 1.709 Å, rel. 23, (6 2 -1)
d = 1.462 Å, rel. 23, (4 4 0)

Cell and atoms:
```
data_DyHo4Sc3
_cell_length_a 11.812
_cell_length_b 6.873
_cell_length_c 5.940
_cell_angle_alpha 90.00
_cell_angle_beta 109.45
_cell_angle_gamma 90.00
_space_group_name_H-M_alt 'C 1 2/m 1'
_space_group_IT_number 12
loop_
_space_group_symop_operation_xyz
'x,y,z'
'-x,-y,-z'
'-x,y,-z'
'x,-y,z'
'x+1/2,y+1/2,z'
'-x+1/2,-y+1/2,-z'
'-x+1/2,y+1/2,-z'
'x+1/2,-y+1/2,z'
loop_
_atom_site_label
_atom_site_type_symbol
_atom_site_fract_x
_atom_site_fract_y
_atom_site_fract_z
Dy1 Dy 0.000 0.000 0.000
Ho1 Ho 0.248 0.500 0.495
Ho2 Ho 0.250 0.250 0.000
Sc1 Sc 0.000 0.253 0.500
Sc2 Sc 0.000 0.500 0.000
```



Record 2
Structure and calculated XRD peak list of Dy5HoSc3 (a cell relaxed with PBE; Cu Kα).
Intensities are scaled so that the largest is 100.

The 8 most intense peaks (10 to 90 degrees two-theta), low angle first:
d = 3.950 Å, rel. 75, (2 2 0)
d = 3.016 Å, rel. 53, (4 2 -2)
d = 2.966 Å, rel. 66, (2 2 1)
d = 2.785 Å, rel. 100, (0 4 0)
d = 2.704 Å, rel. 47, (1 1 -3)
d = 2.689 Å, rel. 54, (2 2 -3)
d = 2.655 Å, rel. 48, (5 1 -3)
d = 2.503 Å, rel. 55, (4 2 0)

Cell and atoms:
```
data_Dy5HoSc3
_cell_length_a 14.542
_cell_length_b 11.138
_cell_length_c 9.518
_cell_angle_alpha 90.00
_cell_angle_beta 129.57
_cell_angle_gamma 90.00
_space_group_name_H-M_alt 'C 1 2/m 1'
_space_group_IT_number 12
loop_
_space_group_symop_operation_xyz
'x,y,z'
'-x,-y,-z'
'-x,y,-z'
'x,-y,z'
'x+1/2,y+1/2,z'
'-x+1/2,-y+1/2,-z'
'-x+1/2,y+1/2,-z'
'x+1/2,-y+1/2,z'
loop_
_atom_site_label
_atom_site_type_symbol
_atom_site_fract_x
_atom_site_fract_y
_atom_site_fract_z
Dy1 Dy 0.000 0.244 0.000
Dy2 Dy 0.139 0.247 0.740
Dy3 Dy 0.218 0.500 0.033
Dy4 Dy 0.222 0.000 0.235
Ho1 Ho 0.246 0.000 0.596
Sc1 Sc 0.000 0.000 0.500
Sc2 Sc 0.000 0.500 0.000
Sc3 Sc 0.012 0.000 0.820
Sc4 Sc 0.020 0.500 0.364
```



Record 3
Structure and calculated XRD peak list of Dy4Ho3Sc3 (a cell relaxed with PBE; Cu Kα).
Intensities are scaled so that the largest is 100.

The 8 most intense peaks (10 to 90 degrees two-theta), low angle first:
d = 3.619 Å, rel. 25, (1 0 0)
d = 2.857 Å, rel. 41, (0 2 4)
d = 2.844 Å, rel. 40, (0 4 2)
d = 2.822 Å, rel. 25, (1 2 2)
d = 2.693 Å, rel. 100, (1 1 3)
d = 2.242 Å, rel. 18, (1 2 4)
d = 2.236 Å, rel. 16, (1 4 2)
d = 1.528 Å, rel. 25, (2 2 4)

Cell and atoms:
```
data_Dy4Ho3Sc3
_cell_length_a 3.619
_cell_length_b 12.697
_cell_length_c 12.798
_cell_angle_alpha 90.00
_cell_angle_beta 90.00
_cell_angle_gamma 90.00
_space_group_name_H-M_alt 'A m m 2'
_space_group_IT_number 38
loop_
_space_group_symop_operation_xyz
'x,y,z'
'-x,-y,z'
'-x,y,z'
'x,-y,z'
'x,y+1/2,z+1/2'
'-x,-y+1/2,z+1/2'
'-x,y+1/2,z+1/2'
'x,-y+1/2,z+1/2'
loop_
_atom_site_label
_atom_site_type_symbol
_atom_site_fract_x
_atom_site_fract_y
_atom_site_fract_z
Dy1 Dy 0.000 0.000 0.000
Dy2 Dy 0.000 0.000 0.255
Dy3 Dy 0.000 0.131 0.619
Ho1 Ho 0.000 0.249 0.374
Ho2 Ho 0.500 0.000 0.793
Sc1 Sc 0.500 0.000 0.454
Sc2 Sc 0.500 0.169 0.125
```



Record 4
Structure and calculated XRD peak list of Dy5Ho4Sc3 (a cell relaxed with PBE; Cu Kα).
Intensities are scaled so that the largest is 100.

The 8 most intense peaks (10 to 90 degrees two-theta), low angle first:
d = 3.003 Å, rel. 34, (2 0 -3)
d = 2.956 Å, rel. 68, (1 1 2)
d = 2.935 Å, rel. 60, (3 1 1)
d = 2.840 Å, rel. 100, (0 2 0)
d = 2.760 Å, rel. 83, (5 1 -1)
d = 2.700 Å, rel. 65, (5 1 -2)
d = 2.648 Å, rel. 41, (3 1 -3)
d = 2.571 Å, rel. 44, (1 1 -3)

Cell and atoms:
```
data_Dy5Ho4Sc3
_cell_length_a 15.906
_cell_length_b 5.680
_cell_length_c 9.047
_cell_angle_alpha 90.00
_cell_angle_beta 117.46
_cell_angle_gamma 90.00
_space_group_name_H-M_alt 'C 1 2/m 1'
_space_group_IT_number 12
loop_
_space_group_symop_operation_xyz
'x,y,z'
'-x,-y,-z'
'-x,y,-z'
'x,-y,z'
'x+1/2,y+1/2,z'
'-x+1/2,-y+1/2,-z'
'-x+1/2,y+1/2,-z'
'x+1/2,-y+1/2,z'
loop_
_atom_site_label
_atom_site_type_symbol
_atom_site_fract_x
_atom_site_fract_y
_atom_site_fract_z
Dy1 Dy 0.000 0.000 0.000
Dy2 Dy 0.075 0.500 0.711
Dy3 Dy 0.174 0.500 0.379
Ho1 Ho 0.081 0.000 0.440
Ho2 Ho 0.216 0.000 0.879
Sc1 Sc 0.000 0.500 0.000
Sc2 Sc 0.213 0.000 0.232
```



Record 5
Structure and calculated XRD peak list of Dy3Ho4Sc (a cell relaxed with PBE; Cu Kα).
Intensities are scaled so that the largest is 100.

The 8 most intense peaks (10 to 90 degrees two-theta), low angle first:
d = 2.865 Å, rel. 100, (2 1 3)
d = 2.758 Å, rel. 46, (3 1 0)
d = 2.056 Å, rel. 8, (3 3 0)
d = 1.891 Å, rel. 11, (4 1 3)
d = 1.517 Å, rel. 11, (4 0 6)
d = 1.512 Å, rel. 23, (5 2 3)
d = 1.473 Å, rel. 12, (3 3 6)
d = 1.324 Å, rel. 9, (2 1 9)

Cell and atoms:
```
data_Dy3Ho4Sc
_cell_length_a 8.722
_cell_length_b 8.722
_cell_length_c 12.665
_cell_angle_alpha 90.00
_cell_angle_beta 90.00
_cell_angle_gamma 90.00
_space_group_name_H-M_alt 'I 4/m c m'
_space_group_IT_number 140
_space_group_name_Hall '-I 4 2c'
loop_
_atom_site_label
_atom_site_type_symbol
_atom_site_fract_x
_atom_site_fract_y
_atom_site_fract_z
Dy1 Dy 0.000 0.000 0.250
Dy2 Dy 0.147 0.353 0.000
Ho1 Ho 0.151 0.349 0.338
Sc1 Sc 0.000 0.000 0.000
```



Record 6
Structure and calculated XRD peak list of DyHo12Sc2 (a cell relaxed with PBE; Cu Kα).
Intensities are scaled so that the largest is 100.

The 8 most intense peaks (10 to 90 degrees two-theta), low angle first:
d = 2.842 Å, rel. 100, (1 1 0)
d = 2.787 Å, rel. 97, (0 1 8)
d = 2.540 Å, rel. 62, (1 0 -8)
d = 2.398 Å, rel. 36, (0 2 0)
d = 1.767 Å, rel. 14, (2 0 -1)
d = 1.744 Å, rel. 40, (1 2 -8)
d = 1.501 Å, rel. 31, (1 1 -16)
d = 1.493 Å, rel. 29, (2 1 7)

Cell and atoms:
```
data_DyHo12Sc2
_cell_length_a 3.535
_cell_length_b 4.797
_cell_length_c 27.446
_cell_angle_alpha 90.00
_cell_angle_beta 93.66
_cell_angle_gamma 90.00
_space_group_name_H-M_alt 'P 1 2/m 1'
_space_group_IT_number 10
loop_
_space_group_symop_operation_xyz
'x,y,z'
'-x,-y,-z'
'-x,y,-z'
'x,-y,z'
loop_
_atom_site_label
_atom_site_type_symbol
_atom_site_fract_x
_atom_site_fract_y
_atom_site_fract_z
Dy1 Dy 0.000 0.000 0.000
Ho1 Ho 0.065 0.000 0.131
Ho2 Ho 0.190 0.000 0.382
Ho3 Ho 0.277 0.500 0.553
Ho4 Ho 0.341 0.500 0.680
Ho5 Ho 0.403 0.500 0.804
Ho6 Ho 0.467 0.500 0.934
Sc1 Sc 0.128 0.000 0.258
```



Record 7
Structure and calculated XRD peak list of Dy12Ho2Sc5 (a cell relaxed with PBE; Cu Kα).
Intensities are scaled so that the largest is 100.

The 8 most intense peaks (10 to 90 degrees two-theta), low angle first:
d = 3.685 Å, rel. 16, (2 0 -2)
d = 2.814 Å, rel. 88, (2 2 -2)
d = 2.761 Å, rel. 100, (4 2 1)
d = 2.703 Å, rel. 39, (1 3 -1)
d = 2.594 Å, rel. 47, (2 0 3)
d = 2.533 Å, rel. 35, (6 0 -1)
d = 2.180 Å, rel. 15, (0 4 0)
d = 1.519 Å, rel. 21, (6 2 4)

Cell and atoms:
```
data_Dy12Ho2Sc5
_cell_length_a 15.906
_cell_length_b 8.720
_cell_length_c 8.266
_cell_angle_alpha 90.00
_cell_angle_beta 90.67
_cell_angle_gamma 90.00
_space_group_name_H-M_alt 'C 1 2/m 1'
_space_group_IT_number 12
loop_
_space_group_symop_operation_xyz
'x,y,z'
'-x,-y,-z'
'-x,y,-z'
'x,-y,z'
'x+1/2,y+1/2,z'
'-x+1/2,-y+1/2,-z'
'-x+1/2,y+1/2,-z'
'x+1/2,-y+1/2,z'
loop_
_atom_site_label
_atom_site_type_symbol
_atom_site_fract_x
_atom_site_fract_y
_atom_site_fract_z
Dy1 Dy 0.054 0.000 0.282
Dy2 Dy 0.110 0.212 0.617
Dy3 Dy 0.166 0.500 0.870
Dy4 Dy 0.186 0.295 0.224
Ho1 Ho 0.000 0.287 0.000
Sc1 Sc 0.000 0.500 0.500
Sc2 Sc 0.146 0.000 0.942
Sc3 Sc 0.248 0.500 0.546
```



Record 8
Structure and calculated XRD peak list of Dy5Ho6Sc2 (a cell relaxed with PBE; Cu Kα).
Intensities are scaled so that the largest is 100.

The 8 most intense peaks (10 to 90 degrees two-theta), low angle first:
d = 3.198 Å, rel. 31, (1 6 0)
d = 2.990 Å, rel. 78, (2 0 1)
d = 2.864 Å, rel. 33, (2 2 1)
d = 2.796 Å, rel. 44, (1 4 1)
d = 2.773 Å, rel. 77, (1 7 0)
d = 2.728 Å, rel. 100, (2 3 1)
d = 2.581 Å, rel. 31, (4 3 0)
d = 1.490 Å, rel. 23, (1 7 2)

Cell and atoms:
```
data_Dy5Ho6Sc2
_cell_length_a 11.202
_cell_length_b 20.032
_cell_length_c 3.533
_cell_angle_alpha 90.00
_cell_angle_beta 90.00
_cell_angle_gamma 90.00
_space_group_name_H-M_alt 'P b a m'
_space_group_IT_number 55
loop_
_space_group_symop_operation_xyz
'x,y,z'
'-x,-y,-z'
'-x,-y,z'
'x,y,-z'
'x+1/2,-y+1/2,-z'
'-x+1/2,y+1/2,z'
'-x+1/2,y+1/2,-z'
'x+1/2,-y+1/2,z'
loop_
_atom_site_label
_atom_site_type_symbol
_atom_site_fract_x
_atom_site_fract_y
_atom_site_fract_z
Dy1 Dy 0.000 0.000 0.000
Dy2 Dy 0.062 0.422 0.000
Dy3 Dy 0.145 0.721 0.000
Ho1 Ho 0.081 0.155 0.000
Ho2 Ho 0.166 0.883 0.500
Ho3 Ho 0.219 0.555 0.500
Sc1 Sc 0.115 0.286 0.500
```